# 1
Calculated powder XRD pattern of TmAg2Pd6 for a wavelength of 1.5418 Å, from a DFT-relaxed cell (GGA-PBE, Alexandria).
Kinematic intensities with the Lorentz-polarization factor, no thermal factor.

Cell lengths 7.7442, 7.7442, 5.4315 Å; angles 98.63, 98.63, 100.01 degrees
Sites, in units of the cell vectors:
1 Tm 0.1038 0.8962 0.7500
2 Tm 0.8962 0.1038 0.2500
3 Ag 0.3400 0.3754 0.6299
4 Ag 0.3754 0.3400 0.1299
5 Ag 0.6246 0.6600 0.8701
6 Ag 0.6600 0.6246 0.3701
7 Pd 0.0348 0.2466 0.8118
8 Pd 0.0710 0.4536 0.2929
9 Pd 0.2466 0.0348 0.3118
10 Pd 0.2675 0.6521 0.9892
11 Pd 0.3479 0.7325 0.5108
12 Pd 0.4536 0.0710 0.7929
13 Pd 0.5464 0.9290 0.2071
14 Pd 0.6521 0.2675 0.4892
15 Pd 0.7325 0.3479 0.0108
16 Pd 0.7534 0.9652 0.6882
17 Pd 0.9290 0.5464 0.7071
18 Pd 0.9652 0.7534 0.1882

Most intense lines, 10° ≤ 2θ ≤ 90°, sorted by position:
two_theta, I_rel
36.7, 41.1
38.0, 60.7
39.1, 67.6
40.2, 100.0
40.3, 54.7
41.4, 39.6


# 2
Calculated powder XRD pattern of UAgPd4 for a wavelength of 1.5418 Å, from a DFT-relaxed cell (GGA-PBE, Alexandria).
Kinematic intensities with the Lorentz-polarization factor, no thermal factor.

Cell lengths 5.3272, 5.3272, 5.3272 Å; angles 60.00, 60.00, 60.00 degrees
Sites, in units of the cell vectors:
1 U 0.0000 0.0000 0.0000
2 Ag 0.7500 0.7500 0.7500
3 Pd 0.3753 0.3753 0.3753
4 Pd 0.3753 0.3753 0.8742
5 Pd 0.3753 0.8742 0.3753
6 Pd 0.8742 0.3753 0.3753

Most intense lines, 10° ≤ 2θ ≤ 90°, sorted by position:
two_theta, I_rel
33.6, 42.1
39.7, 100.0
41.5, 27.3
60.2, 15.9
64.2, 32.2
70.7, 24.9


# 3
Calculated powder XRD pattern of V2AgPd6 for a wavelength of 1.5418 Å, from a DFT-relaxed cell (GGA-PBE, Alexandria).
Kinematic intensities with the Lorentz-polarization factor, no thermal factor.

Cell lengths 2.7853, 2.7853, 20.5349 Å; angles 90.00, 90.00, 120.00 degrees
Sites, in units of the cell vectors:
1 V 0.0000 0.0000 0.1672
2 V 0.0000 0.0000 0.8328
3 Ag 0.6667 0.3333 0.5000
4 Pd 0.0000 0.0000 0.3834
5 Pd 0.0000 0.0000 0.6166
6 Pd 0.6667 0.3333 0.0664
7 Pd 0.6667 0.3333 0.2682
8 Pd 0.6667 0.3333 0.7318
9 Pd 0.6667 0.3333 0.9336

Most intense lines, 10° ≤ 2θ ≤ 90°, sorted by position:
two_theta, I_rel
37.3, 67.8
39.5, 51.9
41.4, 100.0
43.5, 96.7
67.2, 37.5
80.9, 36.3


# 4
Calculated powder XRD pattern of YAg2Pd9 for a wavelength of 1.5418 Å, from a DFT-relaxed cell (GGA-PBE, Alexandria).
Kinematic intensities with the Lorentz-polarization factor, no thermal factor.

Cell lengths 4.0568, 4.0568, 12.0677 Å; angles 90.00, 90.00, 90.00 degrees
Sites, in units of the cell vectors:
1 Y 0.0000 0.0000 0.0000
2 Ag 0.0000 0.0000 0.3384
3 Ag 0.0000 0.0000 0.6616
4 Pd 0.0000 0.5000 0.1737
5 Pd 0.0000 0.5000 0.5000
6 Pd 0.0000 0.5000 0.8263
7 Pd 0.5000 0.0000 0.1737
8 Pd 0.5000 0.0000 0.5000
9 Pd 0.5000 0.0000 0.8263
10 Pd 0.5000 0.5000 0.0000
11 Pd 0.5000 0.5000 0.3364
12 Pd 0.5000 0.5000 0.6636

Most intense lines, 10° ≤ 2θ ≤ 90°, sorted by position:
two_theta, I_rel
38.5, 100.0
44.7, 32.9
45.1, 15.5
65.3, 19.9
78.2, 24.0
78.8, 11.1


# 5
Calculated powder XRD pattern of YAgPd5 for a wavelength of 1.5418 Å, from a DFT-relaxed cell (GGA-PBE, Alexandria).
Kinematic intensities with the Lorentz-polarization factor, no thermal factor.

Cell lengths 5.0733, 7.0448, 9.3613 Å; angles 90.00, 90.00, 90.00 degrees
Sites, in units of the cell vectors:
1 Y 0.0000 0.0000 0.0000
2 Y 0.5000 0.5000 0.5000
3 Ag 0.0000 0.5000 0.1725
4 Ag 0.5000 0.0000 0.6725
5 Pd 0.0000 0.0000 0.5030
6 Pd 0.0000 0.1852 0.7428
7 Pd 0.0000 0.8148 0.7428
8 Pd 0.2494 0.5000 0.7623
9 Pd 0.2506 0.0000 0.2623
10 Pd 0.5000 0.3148 0.2428
11 Pd 0.5000 0.5000 0.0030
12 Pd 0.5000 0.6852 0.2428
13 Pd 0.7494 0.0000 0.2623
14 Pd 0.7506 0.5000 0.7623

Most intense lines, 10° ≤ 2θ ≤ 90°, sorted by position:
two_theta, I_rel
19.0, 89.9
25.3, 69.2
32.4, 62.2
38.9, 100.0
46.8, 80.2
48.3, 84.2


# 6
Calculated powder XRD pattern of Y2AgPd5 for a wavelength of 1.5418 Å, from a DFT-relaxed cell (GGA-PBE, Alexandria).
Kinematic intensities with the Lorentz-polarization factor, no thermal factor.

Cell lengths 5.9681, 5.9681, 8.0679 Å; angles 90.00, 90.00, 90.00 degrees
Sites, in units of the cell vectors:
1 Y 0.0000 0.5000 0.0000
2 Y 0.0000 0.5000 0.5000
3 Y 0.5000 0.0000 0.0000
4 Y 0.5000 0.0000 0.5000
5 Ag 0.0000 0.0000 0.0000
6 Ag 0.5000 0.5000 0.5000
7 Pd 0.0000 0.0000 0.5000
8 Pd 0.2500 0.2500 0.2500
9 Pd 0.2500 0.2500 0.7500
10 Pd 0.2500 0.7500 0.2500
11 Pd 0.2500 0.7500 0.7500
12 Pd 0.5000 0.5000 0.0000
13 Pd 0.7500 0.2500 0.2500
14 Pd 0.7500 0.2500 0.7500
15 Pd 0.7500 0.7500 0.2500
16 Pd 0.7500 0.7500 0.7500

Most intense lines, 10° ≤ 2θ ≤ 90°, sorted by position:
two_theta, I_rel
37.5, 100.0
42.9, 34.0
44.9, 14.8
63.8, 20.2
75.0, 24.9
77.9, 11.2


# 7
Calculated powder XRD pattern of YAgPd for a wavelength of 1.5418 Å, from a DFT-relaxed cell (GGA-PBE, Alexandria).
Kinematic intensities with the Lorentz-polarization factor, no thermal factor.

Cell lengths 5.2936, 5.2936, 7.5677 Å; angles 90.00, 90.00, 120.00 degrees
Sites, in units of the cell vectors:
1 Y 0.0283 0.5141 0.0000
2 Y 0.4859 0.5141 0.6667
3 Y 0.4859 0.9717 0.3333
4 Ag 0.1322 0.2644 0.3333
5 Ag 0.1322 0.8678 0.6667
6 Ag 0.7356 0.8678 0.0000
7 Pd 0.3887 0.1944 0.0000
8 Pd 0.8056 0.1944 0.6667
9 Pd 0.8056 0.6113 0.3333

Most intense lines, 10° ≤ 2θ ≤ 90°, sorted by position:
two_theta, I_rel
35.6, 37.1
35.9, 100.0
41.6, 65.7
60.1, 21.4
71.9, 12.4
72.3, 13.1


# 8
Calculated powder XRD pattern of ZnAg2Pd4 for a wavelength of 1.5418 Å, from a DFT-relaxed cell (GGA-PBE, Alexandria).
Kinematic intensities with the Lorentz-polarization factor, no thermal factor.

Cell lengths 6.7585, 6.7585, 6.7585 Å; angles 109.78, 109.78, 108.86 degrees
Sites, in units of the cell vectors:
1 Zn 0.0000 0.0000 0.0000
2 Zn 0.7500 0.2500 0.5000
3 Ag 0.2612 0.6250 0.1362
4 Ag 0.3750 0.5112 0.6362
5 Ag 0.4888 0.1250 0.8638
6 Ag 0.8750 0.7388 0.3638
7 Pd 0.1055 0.2043 0.7434
8 Pd 0.1121 0.7109 0.7566
9 Pd 0.2891 0.0457 0.4012
10 Pd 0.4609 0.3621 0.2566
11 Pd 0.6379 0.8945 0.0988
12 Pd 0.6445 0.8879 0.5988
13 Pd 0.7957 0.5391 0.9012
14 Pd 0.9543 0.3555 0.2434

Most intense lines, 10° ≤ 2θ ≤ 90°, sorted by position:
two_theta, I_rel
36.2, 41.4
36.5, 100.0
43.2, 55.4
43.4, 29.7
43.5, 31.2
58.0, 20.6


# 9
Calculated powder XRD pattern of ZnAg2Pd8 for a wavelength of 1.5418 Å, from a DFT-relaxed cell (GGA-PBE, Alexandria).
Kinematic intensities with the Lorentz-polarization factor, no thermal factor.

Cell lengths 6.6395, 6.6395, 4.3030 Å; angles 90.00, 90.00, 105.44 degrees
Sites, in units of the cell vectors:
1 Zn 0.0000 0.0000 0.0000
2 Ag 0.3757 0.6243 0.5000
3 Ag 0.6243 0.3757 0.5000
4 Pd 0.0377 0.2975 0.5000
5 Pd 0.2352 0.7648 0.0000
6 Pd 0.2975 0.0377 0.5000
7 Pd 0.3233 0.3233 0.0000
8 Pd 0.6767 0.6767 0.0000
9 Pd 0.7025 0.9623 0.5000
10 Pd 0.7648 0.2352 0.0000
11 Pd 0.9623 0.7025 0.5000

Most intense lines, 10° ≤ 2θ ≤ 90°, sorted by position:
two_theta, I_rel
40.1, 100.0
40.6, 85.3
42.0, 45.0
42.4, 33.1
61.2, 21.6
84.0, 21.8


# 10
Calculated powder XRD pattern of ZnAg2Pd5 for a wavelength of 1.5418 Å, from a DFT-relaxed cell (GGA-PBE, Alexandria).
Kinematic intensities with the Lorentz-polarization factor, no thermal factor.

Cell lengths 7.7062, 8.1054, 5.5691 Å; angles 90.00, 133.67, 90.00 degrees
Sites, in units of the cell vectors:
1 Zn 0.0000 0.0000 0.0000
2 Zn 0.5000 0.5000 0.0000
3 Ag 0.2500 0.2500 0.5000
4 Ag 0.2500 0.7500 0.5000
5 Ag 0.7500 0.2500 0.5000
6 Ag 0.7500 0.7500 0.5000
7 Pd 0.0000 0.0000 0.5000
8 Pd 0.0000 0.5000 0.0000
9 Pd 0.0000 0.5000 0.5000
10 Pd 0.2500 0.2500 0.0000
11 Pd 0.2500 0.7500 0.0000
12 Pd 0.5000 0.0000 0.0000
13 Pd 0.5000 0.0000 0.5000
14 Pd 0.5000 0.5000 0.5000
15 Pd 0.7500 0.2500 0.0000
16 Pd 0.7500 0.7500 0.0000

Most intense lines, 10° ≤ 2θ ≤ 90°, sorted by position:
two_theta, I_rel
39.3, 100.0
44.7, 17.1
45.0, 16.8
47.2, 14.6
65.3, 10.6
78.7, 12.3


# 11
Calculated powder XRD pattern of Zn14AgPd for a wavelength of 1.5418 Å, from a DFT-relaxed cell (GGA-PBE, Alexandria).
Kinematic intensities with the Lorentz-polarization factor, no thermal factor.

Cell lengths 5.6177, 5.6177, 7.5740 Å; angles 90.00, 90.00, 90.00 degrees
Sites, in units of the cell vectors:
1 Zn 0.0000 0.0000 0.0000
2 Zn 0.0000 0.5000 0.0000
3 Zn 0.0000 0.5000 0.5000
4 Zn 0.2468 0.2468 0.2440
5 Zn 0.2468 0.2468 0.7560
6 Zn 0.2468 0.7532 0.2440
7 Zn 0.2468 0.7532 0.7560
8 Zn 0.5000 0.0000 0.0000
9 Zn 0.5000 0.0000 0.5000
10 Zn 0.5000 0.5000 0.0000
11 Zn 0.7532 0.2468 0.2440
12 Zn 0.7532 0.2468 0.7560
13 Zn 0.7532 0.7532 0.2440
14 Zn 0.7532 0.7532 0.7560
15 Ag 0.5000 0.5000 0.5000
16 Pd 0.0000 0.0000 0.5000

Most intense lines, 10° ≤ 2θ ≤ 90°, sorted by position:
two_theta, I_rel
40.0, 100.0
45.7, 33.7
48.1, 14.3
66.6, 10.2
68.5, 18.6
80.6, 23.1


# 12
Calculated powder XRD pattern of ZnAg2Pd3 for a wavelength of 1.5418 Å, from a DFT-relaxed cell (GGA-PBE, Alexandria).
Kinematic intensities with the Lorentz-polarization factor, no thermal factor.

Cell lengths 5.2881, 5.2881, 7.0975 Å; angles 97.63, 97.63, 95.68 degrees
Sites, in units of the cell vectors:
1 Zn 0.0853 0.9147 0.7500
2 Zn 0.9147 0.0853 0.2500
3 Ag 0.1345 0.6131 0.3725
4 Ag 0.3869 0.8655 0.1275
5 Ag 0.6131 0.1345 0.8725
6 Ag 0.8655 0.3869 0.6275
7 Pd 0.1486 0.3058 0.0011
8 Pd 0.3058 0.1486 0.5011
9 Pd 0.4071 0.5929 0.7500
10 Pd 0.5929 0.4071 0.2500
11 Pd 0.6942 0.8514 0.4989
12 Pd 0.8514 0.6942 0.9989

Most intense lines, 10° ≤ 2θ ≤ 90°, sorted by position:
two_theta, I_rel
39.9, 53.8
40.1, 100.0
57.8, 7.9
58.0, 15.4
72.7, 15.8
82.1, 10.9


# 13
Calculated powder XRD pattern of Zn7AgPd3 for a wavelength of 1.5418 Å, from a DFT-relaxed cell (GGA-PBE, Alexandria).
Kinematic intensities with the Lorentz-polarization factor, no thermal factor.

Cell lengths 11.1384, 11.1384, 10.8702 Å; angles 90.00, 90.00, 165.39 degrees
Sites, in units of the cell vectors:
1 Zn 0.0114 0.9886 0.6178
2 Zn 0.0114 0.9886 0.8822
3 Zn 0.0957 0.9043 0.2500
4 Zn 0.1679 0.8321 0.5839
5 Zn 0.1679 0.8321 0.9161
6 Zn 0.3011 0.6989 0.6172
7 Zn 0.3011 0.6989 0.8828
8 Zn 0.6989 0.3011 0.1172
9 Zn 0.6989 0.3011 0.3828
10 Zn 0.8321 0.1679 0.0839
11 Zn 0.8321 0.1679 0.4161
12 Zn 0.9043 0.0957 0.7500
13 Zn 0.9886 0.0114 0.1178
14 Zn 0.9886 0.0114 0.3822
15 Ag 0.4059 0.5941 0.2500
16 Ag 0.5941 0.4059 0.7500
17 Pd 0.2735 0.7265 0.2500
18 Pd 0.4145 0.5855 0.5419
19 Pd 0.4145 0.5855 0.9581
20 Pd 0.5855 0.4145 0.0419
21 Pd 0.5855 0.4145 0.4581
22 Pd 0.7265 0.2735 0.7500

Most intense lines, 10° ≤ 2θ ≤ 90°, sorted by position:
two_theta, I_rel
40.6, 100.0
40.8, 20.6
41.1, 47.5
41.3, 78.7
42.9, 54.1
43.7, 35.1